Diffraction record for Ti5CoSb3. The PXRD pattern is calculated, not measured: it uses a structure optimized by DFT (GGA-PBE) and CuKα.
Neutral-atom scattering factors, no anomalous dispersion.

Atomic structure:
```
data_Ti5CoSb3
_chemical_formula_sum 'Ti10 Co2 Sb6'
_symmetry_space_group_name_H-M 'P 63/m c m'
_symmetry_Int_Tables_number 193
_symmetry_space_group_name_Hall '-P 6c 2'
_cell_length_a 8.1812
_cell_length_b 8.1812
_cell_length_c 5.4403
_cell_angle_alpha 90.00
_cell_angle_beta 90.00
_cell_angle_gamma 120.00
loop_
_atom_site_label
_atom_site_fract_x
_atom_site_fract_y
_atom_site_fract_z
Ti1 0.0000 0.2511 0.2500
Ti2 0.3333 0.6667 0.0000
Co1 0.0000 0.0000 0.0000
Sb1 0.0000 0.3897 0.7500
```

The 10 most intense peaks (10° ≤ 2θ ≤ 90°), in order of rising 2θ:
two_theta  I (rel.)  hkl
25.14  21  2 0 0
27.28  62  1 1 1
32.93  25  0 0 2
37.43  100  2 1 1
38.10  81  3 0 0
39.80  98  1 1 2
49.31  40  3 1 1
56.27  18  2 2 2
61.78  21  2 1 3
72.73  17  4 2 1